Simulated X-ray diffraction stick pattern of Na5B8C2 for Cu Kα X-rays, from a structure optimized by DFT (GGA-PBE).
Peak positions follow from Bragg's law for the DFT cell and can differ from measured ones.

Crystal structure
Unit cell a=8.6624 b=13.3067 c=13.3067 alpha=12.13 beta=90.00 gamma=90.00
Positions (direct):
Na 0.2482 0.0000 0.0000
Na 0.2501 0.4000 0.4000
Na 0.2501 0.6006 0.6006
Na 0.2500 0.8001 0.8001
Na 0.2507 0.2006 0.2006
Na 0.7493 0.2006 0.2006
Na 0.7499 0.4000 0.4000
Na 0.7499 0.6006 0.6006
Na 0.7500 0.8001 0.8001
Na 0.7518 0.0000 0.0000
B 0.0000 0.0713 0.0713
B 0.0000 0.2700 0.2700
B 0.0000 0.3330 0.3330
B 0.0000 0.4652 0.4652
B 0.0000 0.5313 0.5313
B 0.0000 0.6619 0.6619
B 0.0000 0.7277 0.7277
B 0.0000 0.8753 0.8753
B 0.5000 0.0704 0.0704
B 0.5000 0.1341 0.1341
B 0.5000 0.3329 0.3329
B 0.5000 0.4642 0.4642
B 0.5000 0.5274 0.5274
B 0.5000 0.6748 0.6748
B 0.5000 0.7417 0.7417
B 0.5000 0.9228 0.9228
C 0.0000 0.1311 0.1311
C 0.0000 0.9338 0.9338
C 0.5000 0.2719 0.2719
C 0.5000 0.8639 0.8639

Largest 6 diffraction maxima, by angle, 10° ≤ 2θ ≤ 90°:
2θ = 36.17°, I 16; 2θ = 39.92°, I 49; 2θ = 41.71°, I 38; 2θ = 41.93°, I 100; 2θ = 62.10°, I 18; 2θ = 77.62°, I 17